(1)
This entry pairs a crystal structure of Cs2SbHPb with its simulated powder XRD pattern. Radiation: CuKα. Structure: a crystal structure in Alexandria, relaxed with PBE.
Kinematic intensities with the Lorentz-polarization factor, no thermal factor.

Structural model:
Lattice parameters (Å, degrees): 7.658 4.721 11.536 90.00 101.41 90.00
Sites, in units of the cell vectors:
Cs: 0.194 0.250 0.402
Cs: 0.288 0.750 0.061
Cs: 0.712 0.250 0.939
Cs: 0.806 0.750 0.598
Sb: 0.167 0.250 0.786
Sb: 0.833 0.750 0.214
H: 0.435 0.250 0.207
H: 0.565 0.750 0.793
Pb: 0.335 0.750 0.682
Pb: 0.665 0.250 0.318

Main lines, low angle first (2θ from 10° to 90°):
- 2θ = 12.80°, I 296
- 2θ = 23.70°, I 436
- 2θ = 24.39°, I 334
- 2θ = 24.57°, I 1000
- 2θ = 28.52°, I 496
- 2θ = 30.42°, I 614
- 2θ = 30.85°, I 526
- 2θ = 32.08°, I 497
- 2θ = 38.12°, I 313
- 2θ = 48.29°, I 437

=====

(2)
This entry pairs a crystal structure of Tb4PuFe5 with its simulated powder XRD pattern. Radiation: CuKα. Structure: a crystal structure in Alexandria, relaxed with PBE.
Kinematic intensities with the Lorentz-polarization factor, no thermal factor.

Structural model:
Lattice parameters (Å, degrees): 6.854 6.854 6.854 97.37 97.37 138.04
Sites, in units of the cell vectors:
Tb: 0.000 0.302 0.302
Tb: 0.000 0.698 0.698
Tb: 0.302 0.000 0.302
Tb: 0.698 0.000 0.698
Pu: 0.274 0.274 0.000
Fe: 0.361 0.361 0.675
Fe: 0.361 0.687 0.000
Fe: 0.687 0.361 0.000
Fe: 0.687 0.687 0.325
Fe: 0.816 0.816 0.000

Main lines, low angle first (2θ from 10° to 90°):
- 2θ = 19.62°, I 185
- 2θ = 20.59°, I 163
- 2θ = 28.58°, I 622
- 2θ = 31.25°, I 212
- 2θ = 34.91°, I 1000
- 2θ = 39.32°, I 182
- 2θ = 42.37°, I 471
- 2θ = 46.64°, I 340
- 2θ = 58.00°, I 220
- 2θ = 64.83°, I 370

=====

(3)
This entry pairs a crystal structure of Li2AlGaO4 with its simulated powder XRD pattern. Radiation: CuKα. Structure: a crystal structure in Alexandria, relaxed with PBE.
Kinematic intensities with the Lorentz-polarization factor, no thermal factor.

Structural model:
Lattice parameters (Å, degrees): 6.139 5.559 5.023 90.00 90.00 90.00
Sites, in units of the cell vectors:
Li: 0.250 0.165 0.000
Li: 0.250 0.835 0.500
Li: 0.750 0.165 0.000
Li: 0.750 0.835 0.500
Al: 0.000 0.335 0.506
Al: 0.500 0.665 0.006
Ga: 0.000 0.662 0.005
Ga: 0.500 0.338 0.505
O: 0.000 0.351 0.860
O: 0.000 0.635 0.378
O: 0.242 0.181 0.402
O: 0.258 0.819 0.902
O: 0.500 0.365 0.878
O: 0.500 0.649 0.360
O: 0.742 0.819 0.902
O: 0.758 0.181 0.402

Main lines, low angle first (2θ from 10° to 90°):
- 2θ = 15.94°, I 546
- 2θ = 22.88°, I 277
- 2θ = 23.87°, I 1000
- 2θ = 29.09°, I 345
- 2θ = 33.35°, I 506
- 2θ = 35.75°, I 423
- 2θ = 37.98°, I 353
- 2θ = 47.71°, I 266
- 2θ = 58.15°, I 296
- 2θ = 65.70°, I 240

=====

(4)
This entry pairs a crystal structure of Zn3Ga2Ag with its simulated powder XRD pattern. Radiation: CuKα. Structure: a crystal structure in Alexandria, relaxed with PBE.
Kinematic intensities with the Lorentz-polarization factor, no thermal factor.

Structural model:
Lattice parameters (Å, degrees): 6.956 6.956 5.751 102.50 102.50 48.49
Sites, in units of the cell vectors:
Zn: 0.249 0.751 0.750
Zn: 0.344 0.345 0.420
Zn: 0.345 0.344 0.920
Zn: 0.655 0.656 0.080
Zn: 0.656 0.655 0.580
Zn: 0.751 0.249 0.250
Ga: 0.161 0.162 0.580
Ga: 0.162 0.161 0.080
Ga: 0.838 0.839 0.920
Ga: 0.839 0.838 0.420
Ag: 0.253 0.747 0.250
Ag: 0.747 0.253 0.750

Main lines, low angle first (2θ from 10° to 90°):
- 2θ = 34.62°, I 1000
- 2θ = 38.00°, I 931
- 2θ = 38.41°, I 908
- 2θ = 43.20°, I 827
- 2θ = 44.10°, I 576
- 2θ = 45.30°, I 596
- 2θ = 45.42°, I 578
- 2θ = 70.61°, I 210
- 2θ = 78.42°, I 206
- 2θ = 82.25°, I 258